Starting from a cell relaxed with PBE, the powder XRD pattern of Nd4Ru2Cl3 was simulated for λ = 1.5418 Å (Cu Kα).

Most intense lines, 2θ from 15° to 90°, most intense first:
29.38°, I 100.0
44.45°, I 37.4
39.49°, I 26.8
35.67°, I 23.2
54.18°, I 17.4
72.60°, I 14.3
32.27°, I 13.0
48.05°, I 12.4
43.63°, I 11.6
25.72°, I 11.0

Structural model:
Lattice parameters (Å, degrees): 4.0767 4.0767 17.9477 90.05 90.05 59.97
Positions (direct):
1 Nd 0.0008 0.0008 0.3050
2 Nd 0.3340 0.3340 0.1251
3 Nd 0.6660 0.6660 0.8749
4 Nd 0.9992 0.9992 0.6950
5 Ru 0.3327 0.3327 0.7905
6 Ru 0.6673 0.6673 0.2095
7 Cl 0.0000 0.0000 0.0000
8 Cl 0.3342 0.3342 0.4018
9 Cl 0.6658 0.6658 0.5982